1.
The following is a computed powder X-ray diffraction pattern of KCd2RhCl8. It was derived from a DFT-relaxed cell (GGA-PBE, Alexandria), using Cu Kα (λ = 1.5418 Å).

Atomic structure:
```
12
Lattice="5.239 -3.567 0.000 5.239 3.567 0.000 -0.541 0.000 9.037" Properties=species:S:1:pos:R:3 pbc="T T T"
K 0.000 0.000 0.000
Cd 3.354 0.000 6.335
Cd 6.584 0.000 2.703
Rh -0.271 0.000 4.519
Cl 4.782 1.912 2.832
Cl 2.063 0.000 4.188
Cl 5.156 1.912 6.205
Cl 2.694 0.000 8.644
Cl 7.243 0.000 0.393
Cl 4.782 -1.912 2.832
Cl 7.874 0.000 4.849
Cl 5.156 -1.912 6.205
```

The 8 most intense peaks (2θ = 10–80°), low angle first:
17.7 deg, d = 5.015 Å, I 100; 20.1 deg, d = 4.414 Å, I 47; 24.4 deg, d = 3.646 Å, I 61; 25.0 deg, d = 3.567 Å, I 54; 25.2 deg, d = 3.529 Å, I 34; 28.5 deg, d = 3.133 Å, I 83; 31.6 deg, d = 2.830 Å, I 34; 33.9 deg, d = 2.646 Å, I 32

=====

2.
The following is a computed powder X-ray diffraction pattern of KTl2CdCl5. It was derived from a DFT-relaxed cell (GGA-PBE, Alexandria), using Cu Kα (λ = 1.5418 Å).

Atomic structure:
```
9
Lattice="-2.572 3.716 7.676 2.572 -3.716 7.676 2.572 3.716 -7.676" Properties=species:S:1:pos:R:3 pbc="T T T"
K 0.000 0.000 0.000
Tl 2.572 0.000 4.493
Tl 0.000 3.716 3.183
Cd 0.000 0.000 7.676
Cl 2.572 1.855 -1.904
Cl 2.572 1.855 1.904
Cl 0.000 3.716 0.000
Cl 0.000 1.861 5.772
Cl 0.000 1.861 9.581
```

The 8 most intense peaks (2θ = 10–80°), low angle first:
13.2 deg, d = 6.690 Å, I 35; 21.0 deg, d = 4.226 Å, I 28; 24.0 deg, d = 3.707 Å, I 100; 31.5 deg, d = 2.838 Å, I 25; 33.6 deg, d = 2.670 Å, I 23; 34.6 deg, d = 2.596 Å, I 27; 34.9 deg, d = 2.572 Å, I 20; 42.2 deg, d = 2.143 Å, I 19

=====

3.
The following is a computed powder X-ray diffraction pattern of K4TlCd3Cl12. It was derived from a DFT-relaxed cell (GGA-PBE, Alexandria), using Cu Kα (λ = 1.5418 Å).

Atomic structure:
```
20
Lattice="-5.330 5.330 5.330 5.330 -5.330 5.330 5.330 5.330 -5.330" Properties=species:S:1:pos:R:3 pbc="T T T"
K 2.665 2.665 -2.665
K 2.665 -2.665 2.665
K -2.665 2.665 2.665
K 2.665 2.665 2.665
Tl 0.000 0.000 0.000
Cd 5.330 0.000 0.000
Cd 0.000 5.330 0.000
Cd 0.000 0.000 5.330
Cl 2.750 0.000 0.000
Cl 7.909 0.000 0.000
Cl 5.330 2.665 0.000
Cl 5.330 0.000 2.665
Cl 0.000 2.750 0.000
Cl 0.000 0.000 2.750
Cl 2.665 5.330 0.000
Cl 2.665 0.000 5.330
Cl 0.000 7.909 0.000
Cl 0.000 0.000 7.909
Cl 0.000 5.330 2.665
Cl 0.000 2.665 5.330
```

The 8 most intense peaks (2θ = 10–80°), low angle first:
16.6 deg, d = 5.330 Å, I 100; 23.6 deg, d = 3.769 Å, I 100; 33.6 deg, d = 2.665 Å, I 82; 37.7 deg, d = 2.383 Å, I 51; 41.5 deg, d = 2.176 Å, I 45; 48.3 deg, d = 1.884 Å, I 55; 51.4 deg, d = 1.777 Å, I 26; 65.5 deg, d = 1.424 Å, I 23

=====

4.
The following is a computed powder X-ray diffraction pattern of KVCd2Cl8. It was derived from a DFT-relaxed cell (GGA-PBE, Alexandria), using Cu Kα (λ = 1.5418 Å).

Atomic structure:
```
12
Lattice="6.299 0.000 0.000 1.270 6.172 0.000 1.445 1.157 8.527" Properties=species:S:1:pos:R:3 pbc="T T T"
K 0.000 0.000 0.000
V 0.722 0.579 4.264
Cd 3.617 2.957 2.016
Cd 5.397 4.373 6.511
Cl 3.088 5.477 6.000
Cl 2.534 2.091 4.217
Cl 3.048 5.450 2.519
Cl 3.893 3.183 8.524
Cl 5.121 4.147 0.004
Cl 5.965 1.879 6.009
Cl 6.479 5.239 4.310
Cl 5.925 1.853 2.527
```

The 8 most intense peaks (2θ = 10–80°), low angle first:
14.5 deg, d = 6.114 Å, I 49; 16.7 deg, d = 5.323 Å, I 100; 18.6 deg, d = 4.772 Å, I 84; 22.3 deg, d = 3.981 Å, I 90; 23.8 deg, d = 3.744 Å, I 72; 27.1 deg, d = 3.293 Å, I 58; 29.7 deg, d = 3.010 Å, I 63; 34.0 deg, d = 2.636 Å, I 45

=====

5.
The following is a computed powder X-ray diffraction pattern of LaCd2Cl8. It was derived from a DFT-relaxed cell (GGA-PBE, Alexandria), using Cu Kα (λ = 1.5418 Å).

Atomic structure:
```
11
Lattice="-3.527 3.527 6.352 3.527 -3.527 6.352 3.527 3.527 -6.352" Properties=species:S:1:pos:R:3 pbc="T T T"
La 0.000 0.000 0.000
Cd 3.527 0.000 3.176
Cd 0.000 3.527 3.176
Cl 4.913 1.299 -1.488
Cl 1.299 2.141 -1.488
Cl 2.141 1.299 1.488
Cl 2.228 -1.386 7.840
Cl 2.228 1.386 4.865
Cl -1.386 2.228 4.865
Cl 1.299 4.913 1.488
Cl 1.386 2.228 7.840
```

The 8 most intense peaks (2θ = 10–80°), low angle first:
14.4 deg, d = 6.167 Å, I 46; 22.7 deg, d = 3.923 Å, I 100; 29.2 deg, d = 3.062 Å, I 26; 35.5 deg, d = 2.530 Å, I 20; 36.0 deg, d = 2.494 Å, I 31; 38.1 deg, d = 2.360 Å, I 63; 43.0 deg, d = 2.105 Å, I 39; 46.6 deg, d = 1.949 Å, I 16

=====

6.
The following is a computed powder X-ray diffraction pattern of Li2CdCl. It was derived from a DFT-relaxed cell (GGA-PBE, Alexandria), using Cu Kα (λ = 1.5418 Å).

Atomic structure:
```
4
Lattice="2.935 -1.696 0.000 2.935 1.696 0.000 -1.955 0.000 7.929" Properties=species:S:1:pos:R:3 pbc="T T T"
Li 0.972 0.000 1.527
Li 2.943 0.000 6.402
Cd -0.977 0.000 3.965
Cl 2.935 0.000 0.000
```

The 8 most intense peaks (2θ = 10–80°), low angle first:
11.2 deg, d = 7.929 Å, I 91; 22.4 deg, d = 3.965 Å, I 80; 30.7 deg, d = 2.914 Å, I 33; 31.4 deg, d = 2.850 Å, I 97; 34.1 deg, d = 2.632 Å, I 100; 43.3 deg, d = 2.089 Å, I 47; 49.3 deg, d = 1.848 Å, I 28; 59.3 deg, d = 1.558 Å, I 29

=====

7.
The following is a computed powder X-ray diffraction pattern of NaLiCd2Cl6. It was derived from a DFT-relaxed cell (GGA-PBE, Alexandria), using Cu Kα (λ = 1.5418 Å).

Atomic structure:
```
10
Lattice="3.369 1.945 6.075 -3.369 1.945 6.075 0.000 -3.890 6.075" Properties=species:S:1:pos:R:3 pbc="T T T"
Na 0.000 0.000 0.000
Li 0.000 0.000 8.957
Cd 0.000 0.000 5.380
Cd 0.000 0.000 14.591
Cl -2.004 -0.102 7.267
Cl -1.230 -1.932 10.228
Cl 1.091 -1.685 7.267
Cl -1.058 2.032 10.228
Cl 0.914 1.787 7.267
Cl 2.289 -0.099 10.228
```

The 8 most intense peaks (2θ = 10–80°), low angle first:
18.1 deg, d = 4.914 Å, I 100; 24.8 deg, d = 3.591 Å, I 47; 30.3 deg, d = 2.946 Å, I 39; 36.6 deg, d = 2.457 Å, I 27; 40.0 deg, d = 2.256 Å, I 60; 42.2 deg, d = 2.144 Å, I 19; 45.7 deg, d = 1.985 Å, I 23; 46.7 deg, d = 1.945 Å, I 33

=====

8.
The following is a computed powder X-ray diffraction pattern of RbLiCdCl4. It was derived from a DFT-relaxed cell (GGA-PBE, Alexandria), using Cu Kα (λ = 1.5418 Å).

Atomic structure:
```
14
Lattice="6.466 0.000 0.000 0.000 7.383 0.000 -1.646 0.000 8.584" Properties=species:S:1:pos:R:3 pbc="T T T"
Rb 1.306 1.846 0.698
Rb 3.513 5.537 7.886
Li 0.954 1.846 5.810
Li 3.866 5.537 2.774
Cd 0.626 5.537 3.152
Cd 4.194 1.846 5.433
Cl -0.644 0.069 6.164
Cl -0.644 3.623 6.164
Cl 2.200 5.537 1.060
Cl 2.309 1.846 3.853
Cl 2.510 5.537 4.731
Cl 2.620 1.846 7.524
Cl 5.463 3.760 2.420
Cl 5.463 7.315 2.420
```

The 8 most intense peaks (2θ = 10–80°), low angle first:
19.8 deg, d = 4.481 Å, I 100; 24.0 deg, d = 3.711 Å, I 61; 24.1 deg, d = 3.692 Å, I 72; 28.9 deg, d = 3.088 Å, I 75; 29.8 deg, d = 2.998 Å, I 48; 31.8 deg, d = 2.815 Å, I 88; 34.1 deg, d = 2.631 Å, I 82; 40.3 deg, d = 2.238 Å, I 73